(1)
SrY2CuS4: calculated powder XRD pattern (a wavelength of 1.5418 Å), based on a structure optimized by DFT (PBE).

Peak list (10 most intense, 2θ from 10° to 90°, most intense first)
Position (°2θ)  d [Å]  I (rel.)
33.3  2.688  100
27.1  3.291  70
31.3  2.860  46
23.8  3.737  36
46.3  1.963  29
46.1  1.969  26
40.9  2.206  24
46.0  1.975  20
26.2  3.405  20
43.5  2.081  19

Structure:
a = 6.8653 Å, b = 6.8653 Å, c = 13.6218 Å
α = 90.00°, β = 90.00°, γ = 146.78°
Fractional positions:
Sr1 0.1166 0.8834 0.7500
Sr2 0.8834 0.1166 0.2500
Y1 0.3712 0.6288 0.5585
Y2 0.3712 0.6288 0.9415
Y3 0.6288 0.3712 0.0585
Y4 0.6288 0.3712 0.4415
Cu1 0.1533 0.8467 0.2500
Cu2 0.8467 0.1533 0.7500
S1 0.0000 0.0000 0.0000
S2 0.0000 0.0000 0.5000
S3 0.2708 0.7292 0.1193
S4 0.2708 0.7292 0.3807
S5 0.4430 0.5570 0.7500
S6 0.5570 0.4430 0.2500
S7 0.7292 0.2708 0.6193
S8 0.7292 0.2708 0.8807


(2)
Sn4Au: calculated powder XRD pattern (a wavelength of 1.5418 Å), based on a structure optimized by DFT (PBE).

Peak list (10 most intense, 2θ from 10° to 90°, most intense first)
Position (°2θ)  d [Å]  I (rel.)
33.9  2.648  100
44.2  2.051  91
29.3  3.046  89
40.5  2.226  87
31.3  2.858  60
64.4  1.447  52
30.9  2.890  43
20.4  4.343  33
14.7  6.044  32
70.9  1.329  30

Structure:
a = 6.8837 Å, b = 6.8837 Å, c = 6.5746 Å
α = 90.00°, β = 90.00°, γ = 122.81°
Fractional positions:
Sn1 0.0462 0.2833 0.0802
Sn2 0.2167 0.4538 0.5802
Sn3 0.2833 0.0462 0.5802
Sn4 0.4538 0.2167 0.0802
Sn5 0.5462 0.7833 0.9198
Sn6 0.7167 0.9538 0.4198
Sn7 0.7833 0.5462 0.4198
Sn8 0.9538 0.7167 0.9198
Au1 0.2500 0.7500 0.2500
Au2 0.7500 0.2500 0.7500


(3)
ZnInCl3: calculated powder XRD pattern (a wavelength of 1.5418 Å), based on a structure optimized by DFT (PBE).

Peak list (10 most intense, 2θ from 10° to 90°, most intense first)
Position (°2θ)  d [Å]  I (rel.)
31.1  2.880  100
25.9  3.434  98
17.5  5.068  92
30.2  2.962  88
33.0  2.713  70
26.1  3.415  67
13.6  6.489  63
32.1  2.785  59
16.1  5.504  50
23.9  3.728  37

Structure:
a = 7.2551 Å, b = 8.4469 Å, c = 10.1367 Å
α = 90.00°, β = 90.00°, γ = 90.00°
Fractional positions:
Zn1 0.2024 0.1782 0.0000
Zn2 0.2976 0.6782 0.5000
Zn3 0.7024 0.3218 0.0000
Zn4 0.7976 0.8218 0.5000
In1 0.1181 0.6031 0.8755
In2 0.3819 0.1031 0.3755
In3 0.6181 0.8969 0.8755
In4 0.8819 0.3969 0.3755
Cl1 0.0520 0.7716 0.3654
Cl2 0.1968 0.3464 0.1745
Cl3 0.2505 0.4209 0.5424
Cl4 0.2495 0.9209 0.0424
Cl5 0.3031 0.8464 0.6745
Cl6 0.4480 0.2716 0.8654
Cl7 0.5520 0.7284 0.3654
Cl8 0.6968 0.1536 0.1745
Cl9 0.7505 0.0791 0.5424
Cl10 0.7495 0.5791 0.0424
Cl11 0.8032 0.6536 0.6745
Cl12 0.9480 0.2284 0.8654


(4)
NdSnH: calculated powder XRD pattern (a wavelength of 1.5418 Å), based on a structure optimized by DFT (PBE).

Peak list (10 most intense, 2θ from 10° to 90°, most intense first)
Position (°2θ)  d [Å]  I (rel.)
29.8  3.002  100
35.2  2.548  36
55.7  1.649  31
36.2  2.482  30
41.7  2.165  22
51.3  1.779  18
40.8  2.210  18
71.4  1.322  16
59.8  1.547  15
28.6  3.119  11

Structure:
a = 4.3319 Å, b = 12.4740 Å, c = 4.4209 Å
α = 90.00°, β = 90.00°, γ = 90.00°
Fractional positions:
Nd1 0.0000 0.1566 0.2500
Nd2 0.0000 0.8434 0.7500
Nd3 0.5000 0.3434 0.7500
Nd4 0.5000 0.6566 0.2500
Sn1 0.0000 0.4277 0.2500
Sn2 0.0000 0.5723 0.7500
Sn3 0.5000 0.0723 0.7500
Sn4 0.5000 0.9277 0.2500
H1 0.0000 0.2546 0.7500
H2 0.0000 0.7454 0.2500
H3 0.5000 0.2454 0.2500
H4 0.5000 0.7546 0.7500


(5)
RbBeTeO4: calculated powder XRD pattern (a wavelength of 1.5418 Å), based on a structure optimized by DFT (PBE).

Peak list (10 most intense, 2θ from 10° to 90°, most intense first)
Position (°2θ)  d [Å]  I (rel.)
18.6  4.759  100
30.7  2.914  88
36.1  2.485  48
54.5  1.683  33
48.1  1.891  28
88.8  1.101  18
58.2  1.586  18
67.2  1.393  17
63.9  1.457  16
72.5  1.303  14

Structure:
a = 5.8285 Å, b = 5.8285 Å, c = 5.8285 Å
α = 60.00°, β = 60.00°, γ = 60.00°
Fractional positions:
Rb1 0.0000 0.0000 0.0000
Be1 0.5000 0.5000 0.5000
Te1 0.7500 0.7500 0.7500
O1 0.1524 0.6159 0.6159
O2 0.6159 0.1524 0.6159
O3 0.6159 0.6159 0.1524
O4 0.6159 0.6159 0.6159


(6)
Er3Co3Ge8: calculated powder XRD pattern (a wavelength of 1.5418 Å), based on a structure optimized by DFT (PBE).

Peak list (10 most intense, 2θ from 10° to 90°, most intense first)
Position (°2θ)  d [Å]  I (rel.)
33.8  2.651  100
35.9  2.500  88
33.1  2.706  56
46.0  1.975  45
32.4  2.761  30
39.4  2.285  29
41.9  2.156  28
35.5  2.527  27
43.8  2.066  19
53.3  1.719  18

Structure:
a = 9.1873 Å, b = 9.1873 Å, c = 7.7299 Å
α = 112.41°, β = 112.41°, γ = 24.82°
Fractional positions:
Er1 0.0000 0.0000 0.0000
Er2 0.2509 0.2509 0.3066
Er3 0.7491 0.7491 0.6934
Co1 0.0000 0.0000 0.5000
Co2 0.3465 0.3465 0.0116
Co3 0.6535 0.6535 0.9884
Ge1 0.1209 0.1209 0.4694
Ge2 0.1895 0.1895 0.8859
Ge3 0.3777 0.3777 0.7482
Ge4 0.4587 0.4587 0.2982
Ge5 0.5413 0.5413 0.7018
Ge6 0.6223 0.6223 0.2518
Ge7 0.8105 0.8105 0.1141
Ge8 0.8791 0.8791 0.5306